This entry pairs a crystal structure of Sm5Dy2 with its calculated powder diffraction line list. Radiation: CuKα. Structure: a cell relaxed with GGA-PBE.

Crystal structure
Cell: 3.5980 8.0664 8.8256 Å, 68.47 89.99 77.12°
Space group P-1 (No. 2)
One atom of each set of equivalent atoms:
Sm 0.0000 0.0000 0.0000 [1 per cell]
Sm 0.1437 0.7135 0.4277 [2 per cell]
Sm 0.4277 0.1453 0.2843 [2 per cell]
Dy 0.2850 0.4289 0.8585 [2 per cell]

Most intense lines, 10 to 90 degrees two-theta, in order of rising 2θ:
2θ = 30.39°, 2.941 Å, intensity 100, hkl 1 2 1; 2θ = 35.17°, 2.552 Å, intensity 17, hkl 0 3 2; 2θ = 35.27°, 2.545 Å, intensity 34, hkl 1 0 2; 2θ = 50.69°, 1.801 Å, intensity 36, hkl 2 1 0; 2θ = 60.17°, 1.538 Å, intensity 14, hkl 1 5 3; 2θ = 60.30°, 1.535 Å, intensity 29, hkl 2 2 3